Diffraction record for TbY2MoO8. The powder XRD pattern is simulated, not measured: it uses a GGA+U-relaxed structure and Cu Kα, 1.54184 Å.
Intensities are scaled so that the largest is 1000.

Most intense lines, 2θ from 5° to 70°, sorted by position:
- 24.70 deg, rel. 648, hkl 0 2 0
- 25.02 deg, rel. 591, hkl 2 0 0
- 31.61 deg, rel. 1000, hkl 1 1 2
- 35.44 deg, rel. 266, hkl 2 2 0
- 48.03 deg, rel. 437, hkl 1 3 2
- 48.39 deg, rel. 397, hkl 3 1 2

Crystal structure
```
data_TbY2MoO8
_chemical_formula_sum 'Tb2 Y4 Mo2 O16'
_symmetry_space_group_name_H-M 'C m m m'
_symmetry_Int_Tables_number 65
_symmetry_space_group_name_Hall '-C 2 2'
_cell_length_a 7.119
_cell_length_b 7.209
_cell_length_c 6.827
_cell_angle_alpha 90.00
_cell_angle_beta 90.00
_cell_angle_gamma 90.00
loop_
_atom_site_label
_atom_site_type_symbol
_atom_site_fract_x
_atom_site_fract_y
_atom_site_fract_z
Tb1 Tb 0.000 0.000 0.000
Y1 Y 0.000 0.500 0.251
Mo1 Mo 0.000 0.000 0.500
O1 O 0.000 0.183 0.289
O2 O 0.192 0.500 0.000
O3 O 0.226 0.500 0.500
```